This entry pairs a crystal structure of Nb2Tl2PbO7 with its theoretical powder X-ray diffraction pattern. Radiation: Cu Kα, 1.54184 Å. Structure: the PBE geometry in Alexandria.
No peak broadening, texture or thermal motion is included.

Crystal structure
a b c (Å): 4.068 4.068 11.820
angles (deg): 97.18 97.18 89.56
Positions (direct):
Nb 0.088 0.088 0.184
Nb 0.912 0.912 0.816
Tl 0.309 0.309 0.610
Tl 0.691 0.691 0.390
Pb 0.500 0.500 0.000
O 0.000 0.000 0.000
O 0.054 0.560 0.169
O 0.116 0.116 0.345
O 0.440 0.946 0.831
O 0.560 0.054 0.169
O 0.884 0.884 0.655
O 0.946 0.440 0.831

Most intense lines, 2θ = 15–90°, sorted by position:
2θ 28.45, rel. 100
2θ 29.89, rel. 85
2θ 31.05, rel. 42
2θ 31.22, rel. 42
2θ 38.69, rel. 25
2θ 44.61, rel. 42
2θ 50.53, rel. 22
2θ 52.78, rel. 19
2θ 53.86, rel. 19
2θ 54.73, rel. 16